Li9Tl3Hg2: calculated XRD peak list (copper Kα), based on a DFT-relaxed cell (PBE, Alexandria).
Neutral-atom scattering factors, no anomalous dispersion.

Largest 6 diffraction maxima, by angle, 2θ = 10–90°:
- d 4.154, I 100.0, hkl 1 1 0
- d 3.390, I 27.0, hkl 0 3 1
- d 2.611, I 33.7, hkl 0 3 3
- d 2.569, I 39.3, hkl 1 2 3
- d 2.512, I 31.0, hkl 1 3 2
- d 2.375, I 39.2, hkl 1 1 4

Structural model:
```
data_Li9Tl3Hg2
_chemical_formula_sum 'Li18 Tl6 Hg4'
_symmetry_space_group_name_H-M 'I m m m'
_symmetry_Int_Tables_number 71
_symmetry_space_group_name_Hall '-I 2 2'
_cell_length_a 4.5120
_cell_length_b 10.6359
_cell_length_c 11.5820
_cell_angle_alpha 90.00
_cell_angle_beta 90.00
_cell_angle_gamma 90.00
loop_
_atom_site_label
_atom_site_type_symbol
_atom_site_fract_x
_atom_site_fract_y
_atom_site_fract_z
Li1 Li 0.0000 0.0000 0.0000
Li2 Li 0.0000 0.1197 0.3766
Li3 Li 0.0000 0.2212 0.1422
Tl1 Tl 0.0000 0.5000 0.0000
Tl2 Tl 0.0000 0.5000 0.2802
Hg1 Hg 0.0000 0.3344 0.5000
```